# 1
Computed XRD peak list of SmH2Cl4 for Cu Kα X-rays, from DFT lattice parameters and positions (GGA-PBE).
Neutral-atom scattering factors, no anomalous dispersion.

Largest 10 diffraction maxima, in order of rising 2θ, 2θ = 10–90°:
d/Å, I (rel.), index
7.230, 100, 0 2 0
5.191, 70, 1 1 0
3.643, 24, 1 3 0
3.325, 36, 0 2 1
2.781, 34, 2 0 0
2.611, 73, 1 3 1
2.598, 33, 2 2 0
2.566, 21, 1 5 0
2.133, 21, 2 2 1
2.117, 45, 1 5 1

Cell and atoms:
abc: 5.5623 14.4595 3.7444
angles: 90.00 90.00 90.00
Space group Cmmm (No. 65)
Inequivalent atoms, fractional coordinates:
Sm  0.0000  0.0000  0.0000
H  0.0000  0.3947  0.5000
Cl  0.0000  0.1314  0.5000
Cl  0.0000  0.3925  0.0000

# 2
Computed XRD peak list of Sn2H3Cl4 for Cu Kα X-rays, from DFT lattice parameters and positions (GGA-PBE).
Neutral-atom scattering factors, no anomalous dispersion.

Largest 10 diffraction maxima, in order of rising 2θ, 2θ = 10–90°:
d/Å, I (rel.), index
5.509, 83, 0 1 -1
4.114, 39, 0 1 1
3.932, 100, 1 0 0
3.817, 42, 1 0 -1
2.954, 29, 0 1 -3
2.872, 40, 0 0 3
2.772, 56, 0 2 0
2.521, 29, 1 0 -3
2.276, 31, 1 2 -1
2.249, 32, 1 -1 3

Cell and atoms:
abc: 3.9925 5.8467 9.1518
angles: 107.45 97.71 93.71
Space group P-1 (No. 2)
Inequivalent atoms, fractional coordinates:
Sn  0.0840  0.2753  0.2099
H  0.0000  0.0000  0.5000
H  0.4142  0.7102  0.7910
Cl  0.0178  0.8111  0.1166
Cl  0.2068  0.2381  0.5049

# 3
Computed XRD peak list of Sn2HCl5 for Cu Kα X-rays, from DFT lattice parameters and positions (GGA-PBE).
Neutral-atom scattering factors, no anomalous dispersion.

Largest 10 diffraction maxima, in order of rising 2θ, 2θ = 10–90°:
d/Å, I (rel.), index
7.251, 100, 0 0 2
6.895, 25, 2 0 0
5.264, 98, 1 1 0
4.353, 30, 2 0 -3
3.654, 33, 2 0 3
3.577, 26, 3 1 0
2.847, 52, 0 2 0
2.514, 23, 2 0 5
2.382, 24, 2 2 -3
1.884, 25, 2 2 5

Cell and atoms:
abc: 14.0305 5.6948 14.7534
angles: 90.00 100.61 90.00
Space group C2/m (No. 12)
Inequivalent atoms, fractional coordinates:
Sn  0.1449  0.0000  0.4342
Sn  0.1565  0.0000  0.0563
H  0.0684  0.0000  0.7615
Cl  0.0405  0.0000  0.8972
Cl  0.0806  0.0000  0.6751
Cl  0.1720  0.5000  0.4653
Cl  0.1870  0.5000  0.0386
Cl  0.2003  0.0000  0.2863

# 4
Computed XRD peak list of SnH2Cl2 for Cu Kα X-rays, from DFT lattice parameters and positions (GGA-PBE).
Neutral-atom scattering factors, no anomalous dispersion.

Largest 10 diffraction maxima, in order of rising 2θ, 2θ = 10–90°:
d/Å, I (rel.), index
5.779, 69, 2 0 0
5.341, 62, 0 0 1
3.817, 100, 2 0 1
3.095, 81, 1 1 0
2.661, 57, 1 1 1
2.603, 30, 4 0 -1
2.477, 25, 2 0 -2
2.210, 32, 3 1 1
1.845, 32, 3 1 -2
1.781, 28, 3 1 2

Cell and atoms:
abc: 11.5758 3.2127 5.3490
angles: 90.00 93.20 90.00
Space group C2/m (No. 12)
Inequivalent atoms, fractional coordinates:
Sn  0.0000  0.0000  0.0000
H  0.0726  0.5000  0.1719
Cl  0.1483  0.0000  0.7119